Theoretical powder XRD pattern
Compound: RbCdS2O6
Radiation: Cu Kα (λ = 1.5418 Å)
Structure: a DFT-relaxed cell (GGA-PBE, Alexandria)
Lines closer than 0.1° are merged.

Cell and atoms:
```
data_RbCdS2O6
_space_group_name_H-M_alt 'P 1'
_space_group_IT_number 1
_cell_length_a 7.6413
_cell_length_b 7.6413
_cell_length_c 7.6413
_cell_angle_alpha 41.46
_cell_angle_beta 41.46
_cell_angle_gamma 41.46
loop_
_space_group_symop_operation_xyz
'x,y,z'
loop_
_atom_site_label
_atom_site_type_symbol
_atom_site_fract_x
_atom_site_fract_y
_atom_site_fract_z
Rb1 Rb 0.0000 0.0000 0.0000
Cd1 Cd 0.5000 0.5000 0.5000
S1 S 0.2548 0.2548 0.2548
S2 S 0.7452 0.7452 0.7452
O1 O 0.0506 0.7316 0.5217
O2 O 0.2684 0.4783 0.9494
O3 O 0.4783 0.9494 0.2684
O4 O 0.5217 0.0506 0.7316
O5 O 0.7316 0.5217 0.0506
O6 O 0.9494 0.2684 0.4783
```

Main lines, sorted by position (10° ≤ 2θ ≤ 90°):
2θ = 20.8°, rel. 20
2θ = 25.5°, rel. 100
2θ = 33.1°, rel. 29
2θ = 39.5°, rel. 35
2θ = 42.3°, rel. 31
2θ = 52.4°, rel. 22
2θ = 54.7°, rel. 16
2θ = 59.2°, rel. 12
2θ = 63.5°, rel. 21
2θ = 69.5°, rel. 6
2θ = 75.4°, rel. 11
2θ = 83.0°, rel. 11